Computed powder diffraction line list of Na3Cd3Ag2 for a wavelength of 1.5418 Å, from DFT lattice parameters and positions (GGA-PBE).
Neutral-atom scattering factors, no anomalous dispersion.

Most intense lines, 15° ≤ 2θ ≤ 90°, sorted by position:
21.52 deg, intensity 35.1; 33.15 deg, intensity 43.4; 35.92 deg, intensity 100.0; 37.74 deg, intensity 35.6; 38.13 deg, intensity 47.8; 44.20 deg, intensity 12.5; 45.75 deg, intensity 30.2; 54.73 deg, intensity 20.1; 64.03 deg, intensity 17.4; 66.96 deg, intensity 15.1

Crystal structure
```
data_Na3Cd3Ag2
_cell_length_a 8.2569
_cell_length_b 8.2569
_cell_length_c 3.1421
_cell_angle_alpha 90.00
_cell_angle_beta 90.00
_cell_angle_gamma 120.00
_symmetry_space_group_name_H-M 'P -6 2 m'
_symmetry_Int_Tables_number 189
_symmetry_space_group_name_Hall 'P -6 -2'
loop_
_atom_site_label
_atom_site_type_symbol
_atom_site_fract_x
_atom_site_fract_y
_atom_site_fract_z
_atom_site_occupancy
Na1 Na 0.0000 0.2441 0.0000 1
Cd1 Cd 0.0000 0.5944 0.5000 1
Ag1 Ag 0.3333 0.6667 0.0000 1
```